Entry 1:
Computed X-ray powder pattern of Pm8C2N3 for Cu Kα X-rays, from a PBE-relaxed structure.
Neutral-atom scattering factors, no anomalous dispersion.

Crystal structure
abc: 12.7200 7.3482 6.4532
angles: 90.00 108.62 90.00
Space group C2/m (No. 12)
Inequivalent atoms, fractional coordinates:
Pm 0.1143 0.0000 0.2359
Pm 0.1194 0.5000 0.2142
Pm 0.1256 0.2381 0.7626
C 0.2503 0.0000 0.9920
N 0.0000 0.0000 0.5000
N 0.0000 0.2477 0.0000

The 10 most intense peaks (2θ = 10–90°), in order of rising 2θ:
2θ = 29.2°, rel. 49.7, (0 0 2)
2θ = 29.6°, rel. 50.4, (4 0 0)
2θ = 29.8°, rel. 100.0, (2 2 -1)
2θ = 34.2°, rel. 83.9, (2 2 1)
2θ = 34.5°, rel. 41.7, (4 0 -2)
2θ = 49.1°, rel. 27.6, (2 2 -3)
2θ = 49.6°, rel. 43.8, (6 2 -1)
2θ = 58.4°, rel. 20.2, (6 2 1)
2θ = 58.9°, rel. 28.2, (4 4 0)
2θ = 61.8°, rel. 14.4, (4 4 -2)

---

Entry 2:
Computed X-ray powder pattern of PmCN for Cu Kα X-rays, from a PBE-relaxed structure.
Neutral-atom scattering factors, no anomalous dispersion.

Crystal structure
abc: 3.7269 3.7269 6.2422
angles: 90.00 90.00 90.00
Space group I4mm (No. 107)
Inequivalent atoms, fractional coordinates:
Pm 0.0000 0.0000 0.0000
C 0.0000 0.0000 0.3989
N 0.0000 0.0000 0.6026

The 10 most intense peaks (2θ = 10–90°), in order of rising 2θ:
2θ = 27.9°, rel. 100.0, (1 0 1)
2θ = 28.6°, rel. 35.3, (0 0 2)
2θ = 34.0°, rel. 55.1, (1 1 0)
2θ = 45.0°, rel. 40.3, (1 1 2)
2θ = 48.9°, rel. 19.0, (2 0 0)
2θ = 50.2°, rel. 29.6, (1 0 3)
2θ = 57.2°, rel. 29.4, (2 1 1)
2θ = 57.6°, rel. 19.2, (2 0 2)
2θ = 72.7°, rel. 19.3, (2 1 3)
2θ = 88.7°, rel. 11.7, (3 1 2)